No. 1
Calculated XRD peak list of MgCo6O8F4 for copper Kα, from a cell relaxed with GGA+U.
Peak positions follow from Bragg's law for the DFT cell and can differ from measured ones.

Top 8 peaks for 2θ from 5° to 70°, by angle:
d = 3.851 Å, I 1000, (1 1 1); d = 3.099 Å, I 750, (-1 1 1); d = 2.535 Å, I 296, (1 -1 2); d = 2.498 Å, I 219, (0 0 3); d = 2.491 Å, I 248, (1 1 -2); d = 2.469 Å, I 338, (0 2 -1); d = 1.925 Å, I 162, (2 2 2); d = 1.460 Å, I 197, (0 2 -4)

Crystal structure
abc: 5.057 5.605 7.651
angles: 81.12 81.18 80.05
Space group P1 (No. 1)
Inequivalent atoms, fractional coordinates:
Mg (0.000, 0.000, 0.000) (multiplicity 1)
Co (0.475, 0.853, 0.188) (multiplicity 1)
Co (0.506, 0.206, 0.852) (multiplicity 1)
Co (0.512, 0.552, 0.529) (multiplicity 1)
Co (0.920, 0.621, 0.808) (multiplicity 1)
Co (0.966, 0.015, 0.512) (multiplicity 1)
Co (0.975, 0.384, 0.183) (multiplicity 1)
O (0.288, 0.154, 0.078) (multiplicity 1)
O (0.289, 0.818, 0.419) (multiplicity 1)
O (0.295, 0.489, 0.750) (multiplicity 1)
O (0.673, 0.234, 0.614) (multiplicity 1)
O (0.674, 0.878, 0.952) (multiplicity 1)
O (0.681, 0.567, 0.290) (multiplicity 1)
O (0.791, 0.740, 0.600) (multiplicity 1)
O (0.816, 0.360, 0.955) (multiplicity 1)
F (0.137, 0.297, 0.409) (multiplicity 1)
F (0.138, 0.973, 0.752) (multiplicity 1)
F (0.179, 0.674, 0.095) (multiplicity 1)
F (0.813, 0.051, 0.257) (multiplicity 1)

No. 2
Calculated XRD peak list of Na2NiPCO7 for copper Kα, from a cell relaxed with GGA+U.
Peak positions follow from Bragg's law for the DFT cell and can differ from measured ones.

Top 8 peaks for 2θ from 5° to 70°, by angle:
d = 8.897 Å, I 1000, (0 1 0); d = 5.308 Å, I 371, (1 1 0); d = 4.432 Å, I 208, (0 2 2); d = 4.083 Å, I 196, (-1 1 2); d = 3.425 Å, I 262, (0 1 -2); d = 3.308 Å, I 408, (2 0 0); d = 2.654 Å, I 269, (2 2 0); d = 2.594 Å, I 274, (0 2 4)

Crystal structure
abc: 6.615 10.177 10.380
angles: 60.95 89.87 89.91
Space group P1 (No. 1)
Inequivalent atoms, fractional coordinates:
Na (0.000, 0.000, 0.000) (multiplicity 1)
Na (0.001, 0.008, 0.477) (multiplicity 1)
Na (0.222, 0.819, 0.815) (multiplicity 1)
Na (0.477, 0.008, 0.477) (multiplicity 1)
Na (0.480, 0.001, 0.999) (multiplicity 1)
Na (0.498, 0.496, 0.484) (multiplicity 1)
Na (0.531, 0.479, 0.994) (multiplicity 1)
Na (0.979, 0.495, 0.489) (multiplicity 1)
Ni (0.236, 0.397, 0.807) (multiplicity 1)
Ni (0.236, 0.398, 0.301) (multiplicity 1)
Ni (0.738, 0.095, 0.675) (multiplicity 1)
Ni (0.740, 0.099, 0.175) (multiplicity 1)
P (0.239, 0.167, 0.672) (multiplicity 1)
P (0.239, 0.172, 0.168) (multiplicity 1)
P (0.739, 0.324, 0.313) (multiplicity 1)
P (0.740, 0.325, 0.805) (multiplicity 1)
C (0.242, 0.673, 0.131) (multiplicity 1)
C (0.243, 0.675, 0.633) (multiplicity 1)
C (0.735, 0.824, 0.846) (multiplicity 1)
C (0.739, 0.822, 0.342) (multiplicity 1)
O (0.051, 0.077, 0.182) (multiplicity 1)
O (0.053, 0.068, 0.686) (multiplicity 1)
O (0.235, 0.610, 0.274) (multiplicity 1)
O (0.239, 0.199, 0.805) (multiplicity 1)
O (0.239, 0.204, 0.302) (multiplicity 1)
O (0.240, 0.317, 0.527) (multiplicity 1)
O (0.241, 0.585, 0.579) (multiplicity 1)
O (0.241, 0.814, 0.047) (multiplicity 1)
O (0.241, 0.818, 0.558) (multiplicity 1)
O (0.245, 0.610, 0.776) (multiplicity 1)
O (0.249, 0.320, 0.024) (multiplicity 1)
O (0.250, 0.579, 0.081) (multiplicity 1)
O (0.423, 0.065, 0.687) (multiplicity 1)
O (0.426, 0.072, 0.186) (multiplicity 1)
O (0.551, 0.420, 0.300) (multiplicity 1)
O (0.553, 0.421, 0.794) (multiplicity 1)
O (0.727, 0.686, 0.931) (multiplicity 1)
O (0.732, 0.288, 0.675) (multiplicity 1)
O (0.733, 0.285, 0.185) (multiplicity 1)
O (0.737, 0.171, 0.458) (multiplicity 1)
O (0.738, 0.682, 0.422) (multiplicity 1)
O (0.740, 0.887, 0.199) (multiplicity 1)
O (0.740, 0.916, 0.393) (multiplicity 1)
O (0.740, 0.924, 0.891) (multiplicity 1)
O (0.741, 0.883, 0.703) (multiplicity 1)
O (0.742, 0.177, 0.953) (multiplicity 1)
O (0.926, 0.416, 0.305) (multiplicity 1)
O (0.929, 0.421, 0.782) (multiplicity 1)

No. 3
Calculated XRD peak list of V2PbO6 for copper Kα, from a cell relaxed with GGA+U.
Peak positions follow from Bragg's law for the DFT cell and can differ from measured ones.

Top 8 peaks for 2θ from 5° to 70°, by angle:
d = 5.470 Å, I 409, (1 0 2); d = 4.656 Å, I 681, (2 0 1); d = 3.541 Å, I 291, (0 1 1); d = 3.276 Å, I 1000, (0 0 4); d = 3.052 Å, I 953, (1 1 2); d = 2.960 Å, I 841, (2 1 0); d = 2.812 Å, I 314, (0 1 3); d = 2.195 Å, I 634, (2 1 4)

Crystal structure
abc: 9.963 3.678 13.089
angles: 90.00 90.00 90.00
Space group Pnma (No. 62)
Inequivalent atoms, fractional coordinates:
V (0.004, 0.250, 0.127) (multiplicity 4)
V (0.241, 0.250, 0.909) (multiplicity 4)
Pb (0.130, 0.250, 0.619) (multiplicity 4)
O (0.023, 0.750, 0.746) (multiplicity 4)
O (0.033, 0.250, 0.910) (multiplicity 4)
O (0.107, 0.750, 0.476) (multiplicity 4)
O (0.173, 0.250, 0.105) (multiplicity 4)
O (0.191, 0.750, 0.931) (multiplicity 4)
O (0.222, 0.750, 0.287) (multiplicity 4)

> What is the formula in the third record?

V2PbO6